No. 1
For TiNb3P6O24, the GGA-PBE geometry in the Materials Project gives the theoretical powder XRD pattern in this record (Cu Ka).
Neutral-atom scattering factors, no anomalous dispersion.

Cell and atoms:
abc: 8.9823 8.9823 8.9823
angles: 58.64 58.64 58.64
Atoms (fractional coordinates):
Ti1 0.0000 0.0000 0.0000
Nb1 0.2178 0.2178 0.2178
Nb2 0.4999 0.4999 0.4999
Nb3 0.7174 0.7174 0.7174
P1 0.1078 0.3885 0.8252
P2 0.3190 0.8940 0.6141
P3 0.3885 0.8252 0.1078
P4 0.6141 0.3190 0.8940
P5 0.8252 0.1078 0.3885
P6 0.8940 0.6141 0.3190
O1 0.0694 0.4396 0.2951
O2 0.0771 0.2221 0.8557
O3 0.1397 0.3616 0.9923
O4 0.1446 0.9222 0.7819
O5 0.2221 0.8557 0.0771
O6 0.2778 0.4208 0.6480
O7 0.2951 0.0694 0.4396
O8 0.3538 0.7262 0.5778
O9 0.3616 0.9923 0.1397
O10 0.4208 0.6480 0.2778
O11 0.4396 0.2951 0.0694
O12 0.4918 0.8628 0.6393
O13 0.5687 0.7963 0.9391
O14 0.5778 0.3538 0.7262
O15 0.6393 0.4918 0.8628
O16 0.6480 0.2778 0.4208
O17 0.7262 0.5778 0.3538
O18 0.7819 0.1446 0.9222
O19 0.7963 0.9391 0.5687
O20 0.8557 0.0771 0.2221
O21 0.8628 0.6393 0.4918
O22 0.9222 0.7819 0.1446
O23 0.9391 0.5687 0.7963
O24 0.9923 0.1397 0.3616

Most intense lines, 2θ = 5–70°, sorted by position:
- 2θ 14.1, I 53
- 2θ 19.8, I 100
- 2θ 20.2, I 63
- 2θ 23.5, I 90
- 2θ 28.4, I 66
- 2θ 31.6, I 44
- 2θ 35.1, I 26
- 2θ 35.3, I 25
- 2θ 52.0, I 26
- 2θ 55.3, I 21


No. 2
For Pb, the GGA-PBE geometry in the Materials Project gives the theoretical powder XRD pattern in this record (Cu Ka).
Neutral-atom scattering factors, no anomalous dispersion.

Cell and atoms:
abc: 3.4679 3.4679 3.4679
angles: 109.47 109.47 109.47
Atoms (fractional coordinates):
Pb1 0.0000 0.0000 0.0000

Most intense lines, 2θ = 5–70°, sorted by position:
- 2θ 31.6, I 100
- 2θ 45.3, I 19
- 2θ 56.3, I 40
- 2θ 66.0, I 13


No. 3
For NdCo4B4, the GGA-PBE geometry in the Materials Project gives the theoretical powder XRD pattern in this record (Cu Ka).
Neutral-atom scattering factors, no anomalous dispersion.

Cell and atoms:
abc: 7.0803 7.0803 3.8027
angles: 90.00 90.00 90.00
Atoms (fractional coordinates):
Nd1 0.2500 0.2500 0.2500
Nd2 0.7500 0.7500 0.7500
Co1 0.1069 0.6349 0.1443
Co2 0.1349 0.8931 0.6443
Co3 0.3651 0.6069 0.6443
Co4 0.3931 0.8651 0.1443
Co5 0.6069 0.1349 0.8557
Co6 0.6349 0.3931 0.3557
Co7 0.8651 0.1069 0.3557
Co8 0.8931 0.3651 0.8557
B1 0.0449 0.9116 0.1466
B2 0.0884 0.5449 0.6466
B3 0.4116 0.9551 0.6466
B4 0.4551 0.5884 0.1466
B5 0.5449 0.4116 0.8534
B6 0.5884 0.0449 0.3534
B7 0.9116 0.4551 0.3534
B8 0.9551 0.0884 0.8534

Most intense lines, 2θ = 5–70°, sorted by position:
- 2θ 25.2, I 18
- 2θ 26.6, I 43
- 2θ 35.9, I 13
- 2θ 36.9, I 100
- 2θ 40.3, I 71
- 2θ 43.3, I 14
- 2θ 49.6, I 14
- 2θ 52.4, I 23
- 2θ 59.0, I 12
- 2θ 64.3, I 14